# 1
Starting from DFT lattice parameters and positions (PBE), the powder diffraction line list of MnCd2Cu was computed for Cu Kα (weighted mean of Kα1 and Kα2).

Top 10 peaks for 2θ = 10–90°, sorted by position:
| two_theta | I (rel.) |
| --- | --- |
| 31.3 | 23 |
| 37.0 | 19 |
| 38.0 | 100 |
| 38.2 | 49 |
| 38.5 | 49 |
| 41.3 | 91 |
| 59.4 | 15 |
| 60.4 | 14 |
| 72.9 | 13 |
| 73.1 | 13 |

Structure:
```
data_MnCd2Cu
_chemical_formula_sum 'Mn1 Cd2 Cu1'
_space_group_name_H-M_alt 'P 1'
_space_group_IT_number 1
_space_group_name_Hall 'P 1'
_cell_length_a 3.0666
_cell_length_b 3.1109
_cell_length_c 7.2807
_cell_angle_alpha 90.00
_cell_angle_beta 90.42
_cell_angle_gamma 90.00
loop_
_atom_site_label
_atom_site_fract_x
_atom_site_fract_y
_atom_site_fract_z
_atom_site_occupancy
Mn1 0.0000 0.0000 0.0000 1
Cd1 0.0029 0.0000 0.4273 1
Cd2 0.4992 0.5000 0.7377 1
Cu1 0.5018 0.5000 0.1885 1
```


# 2
Starting from DFT lattice parameters and positions (PBE), the powder diffraction line list of Sr2LuCu2Bi2O8 was computed for Cu Kα (weighted mean of Kα1 and Kα2).

Top 10 peaks for 2θ = 10–90°, sorted by position:
| two_theta | I (rel.) |
| --- | --- |
| 11.6 | 28 |
| 25.2 | 49 |
| 27.8 | 46 |
| 29.2 | 22 |
| 31.3 | 100 |
| 33.6 | 95 |
| 45.1 | 43 |
| 48.2 | 44 |
| 56.6 | 35 |
| 58.6 | 36 |

Structure:
```
data_Sr2LuCu2Bi2O8
_chemical_formula_sum 'Sr2 Lu1 Cu2 Bi2 O8'
_space_group_name_H-M_alt 'P 1'
_space_group_IT_number 1
_space_group_name_Hall 'P 1'
_cell_length_a 15.5472
_cell_length_b 15.5472
_cell_length_c 15.5472
_cell_angle_alpha 166.06
_cell_angle_beta 166.06
_cell_angle_gamma 19.77
loop_
_atom_site_label
_atom_site_fract_x
_atom_site_fract_y
_atom_site_fract_z
_atom_site_occupancy
Sr1 0.1127 0.1127 0.0000 1
Sr2 0.8873 0.8873 0.0000 1
Lu1 0.0000 0.0000 0.0000 1
Cu1 0.4502 0.4502 0.0000 1
Cu2 0.5498 0.5498 0.0000 1
Bi1 0.2976 0.2976 0.0000 1
Bi2 0.7024 0.7024 0.0000 1
O1 0.0462 0.5462 0.5000 1
O2 0.1990 0.1990 0.0000 1
O3 0.3669 0.3669 0.0000 1
O4 0.4538 0.9538 0.5000 1
O5 0.5462 0.0462 0.5000 1
O6 0.6331 0.6331 0.0000 1
O7 0.8010 0.8010 0.0000 1
O8 0.9538 0.4538 0.5000 1
```


# 3
Starting from DFT lattice parameters and positions (PBE), the powder diffraction line list of AcEu2Y was computed for Cu Kα (weighted mean of Kα1 and Kα2).

Top 10 peaks for 2θ = 10–90°, sorted by position:
| two_theta | I (rel.) |
| --- | --- |
| 24.7 | 13 |
| 28.6 | 100 |
| 33.1 | 51 |
| 47.6 | 37 |
| 56.4 | 13 |
| 56.5 | 30 |
| 59.2 | 12 |
| 76.9 | 17 |
| 79.3 | 11 |
| 88.7 | 8 |

Structure:
```
data_AcEu2Y
_chemical_formula_sum 'Ac1 Eu2 Y1'
_space_group_name_H-M_alt 'P 1'
_space_group_IT_number 1
_space_group_name_Hall 'P 1'
_cell_length_a 3.8203
_cell_length_b 3.8203
_cell_length_c 10.8311
_cell_angle_alpha 90.00
_cell_angle_beta 90.00
_cell_angle_gamma 90.00
loop_
_atom_site_label
_atom_site_fract_x
_atom_site_fract_y
_atom_site_fract_z
_atom_site_occupancy
Ac1 0.0000 0.0000 0.0000 1
Eu1 0.5000 0.5000 0.2631 1
Eu2 0.5000 0.5000 0.7369 1
Y1 0.0000 0.0000 0.5000 1
```


# 4
Starting from DFT lattice parameters and positions (PBE), the powder diffraction line list of SrMgTl2Pb was computed for Cu Kα (weighted mean of Kα1 and Kα2).

Top 10 peaks for 2θ = 10–90°, sorted by position:
| two_theta | I (rel.) |
| --- | --- |
| 12.6 | 10 |
| 18.6 | 13 |
| 25.3 | 25 |
| 27.6 | 42 |
| 31.8 | 15 |
| 32.3 | 100 |
| 37.8 | 22 |
| 40.9 | 13 |
| 51.9 | 28 |
| 56.9 | 10 |

Structure:
```
data_SrMgTl2Pb
_chemical_formula_sum 'Sr2 Mg2 Tl4 Pb2'
_space_group_name_H-M_alt 'P 1'
_space_group_IT_number 1
_space_group_name_Hall 'P 1'
_cell_length_a 6.4679
_cell_length_b 6.8064
_cell_length_c 7.0486
_cell_angle_alpha 90.00
_cell_angle_beta 90.00
_cell_angle_gamma 90.00
loop_
_atom_site_label
_atom_site_fract_x
_atom_site_fract_y
_atom_site_fract_z
_atom_site_occupancy
Sr1 0.2500 0.0000 0.2280 1
Sr2 0.7500 0.0000 0.7720 1
Mg1 0.0000 0.5000 0.0000 1
Mg2 0.5000 0.5000 0.0000 1
Tl1 0.2500 0.2340 0.7372 1
Tl2 0.2500 0.7660 0.7372 1
Tl3 0.7500 0.2340 0.2628 1
Tl4 0.7500 0.7660 0.2628 1
Pb1 0.2500 0.5000 0.3714 1
Pb2 0.7500 0.5000 0.6286 1
```


# 5
Starting from DFT lattice parameters and positions (PBE), the powder diffraction line list of Ba3Hg2Sb was computed for Cu Kα (weighted mean of Kα1 and Kα2).

Top 10 peaks for 2θ = 10–90°, sorted by position:
| two_theta | I (rel.) |
| --- | --- |
| 29.8 | 50 |
| 29.9 | 100 |
| 42.7 | 19 |
| 42.9 | 9 |
| 53.0 | 29 |
| 53.1 | 25 |
| 62.1 | 9 |
| 70.3 | 8 |
| 70.7 | 9 |
| 85.9 | 10 |

Structure:
```
data_Ba3Hg2Sb
_chemical_formula_sum 'Ba6 Hg4 Sb2'
_space_group_name_H-M_alt 'P 1'
_space_group_IT_number 1
_space_group_name_Hall 'P 1'
_cell_length_a 10.3763
_cell_length_b 10.3763
_cell_length_c 5.9835
_cell_angle_alpha 106.73
_cell_angle_beta 106.73
_cell_angle_gamma 120.30
loop_
_atom_site_label
_atom_site_fract_x
_atom_site_fract_y
_atom_site_fract_z
_atom_site_occupancy
Ba1 0.0822 0.4179 0.7500 1
Ba2 0.2483 0.2483 0.2481 1
Ba3 0.4179 0.0822 0.7500 1
Ba4 0.5821 0.9178 0.2500 1
Ba5 0.7517 0.7517 0.7519 1
Ba6 0.9178 0.5821 0.2500 1
Hg1 0.0000 0.0000 0.5000 1
Hg2 0.3427 0.6573 0.5000 1
Hg3 0.5000 0.5000 0.0000 1
Hg4 0.6573 0.3427 0.5000 1
Sb1 0.1660 0.8340 0.0000 1
Sb2 0.8340 0.1660 0.0000 1
```


# 6
Starting from DFT lattice parameters and positions (PBE), the powder diffraction line list of Pm2BePt2 was computed for Cu Kα (weighted mean of Kα1 and Kα2).

Top 10 peaks for 2θ = 10–90°, sorted by position:
| two_theta | I (rel.) |
| --- | --- |
| 29.2 | 52 |
| 29.5 | 100 |
| 30.2 | 79 |
| 33.6 | 69 |
| 36.9 | 30 |
| 40.1 | 40 |
| 41.9 | 42 |
| 42.5 | 34 |
| 42.7 | 65 |
| 52.6 | 35 |

Structure:
```
data_Pm2BePt2
_chemical_formula_sum 'Pm4 Be2 Pt4'
_space_group_name_H-M_alt 'P 1'
_space_group_IT_number 1
_space_group_name_Hall 'P 1'
_cell_length_a 7.3161
_cell_length_b 7.3161
_cell_length_c 7.3161
_cell_angle_alpha 130.50
_cell_angle_beta 72.17
_cell_angle_gamma 131.06
loop_
_atom_site_label
_atom_site_fract_x
_atom_site_fract_y
_atom_site_fract_z
_atom_site_occupancy
Pm1 0.1420 0.1821 0.3241 1
Pm2 0.3580 0.6821 0.0402 1
Pm3 0.6420 0.3179 0.9598 1
Pm4 0.8580 0.8179 0.6759 1
Be1 0.2500 0.7500 0.5000 1
Be2 0.7500 0.2500 0.5000 1
Pt1 0.1095 0.6937 0.8032 1
Pt2 0.3905 0.1937 0.5842 1
Pt3 0.6095 0.8063 0.4158 1
Pt4 0.8905 0.3063 0.1968 1
```